# Li3Fe2Si2O8
Calculated powder diffractogram, Cu Kα. Input: a crystal structure in Alexandria, relaxed with PBE+U.
Lines closer than 0.1° are merged.

Crystal structure
```
15
Lattice="5.022 0.000 0.000 0.099 5.523 0.000 0.080 0.098 6.224" Properties=species:S:1:pos:R:3 pbc="T T T"
Li 0.000 0.000 0.000
Li 0.169 5.533 3.035
Li 2.653 3.764 6.219
Fe 2.587 0.928 1.572
Fe 5.125 2.811 4.581
Si 2.635 0.960 4.673
Si 4.996 2.757 1.489
O 0.477 3.563 2.867
O 0.523 1.191 1.499
O 0.550 3.533 0.082
O 0.956 1.071 4.634
O 3.069 0.113 6.015
O 3.183 0.244 3.333
O 3.267 2.494 4.792
O 3.384 2.773 1.433
```

The 6 most intense peaks (5° ≤ 2θ ≤ 70°), in order of falling intensity:
two_theta	d (Å)	I_rel	index
16.0	5.522	100.0	0 1 0
24.2	3.683	96.1	1 -1 0
23.7	3.748	92.4	1 1 0
35.8	2.510	73.1	2 0 0
28.7	3.112	61.7	0 0 2
32.8	2.729	45.3	0 1 2